# 1
The following is a calculated powder X-ray diffraction pattern of Cs2Tl16In. It was derived from a DFT-relaxed cell (GGA-PBE, Alexandria), using Cu Kα.

Cell and atoms:
```
Cs2Tl16In
1.0
5.7583 3.3246 5.7114
-5.7583 3.3246 5.7114
0.0000 -6.6491 5.7114
Cs Tl In
2 16 1
direct
0.0000 0.0000 0.0000 Cs
0.3215 0.3215 0.3215 Cs
0.0132 0.0132 0.5119 Tl
0.0132 0.5119 0.0132 Tl
0.1547 0.6641 0.6641 Tl
0.3085 0.3085 0.8045 Tl
0.3085 0.8045 0.3085 Tl
0.3711 0.6602 0.9499 Tl
0.3711 0.9499 0.6602 Tl
0.5119 0.0132 0.0132 Tl
0.5642 0.5642 0.5642 Tl
0.6602 0.3711 0.9499 Tl
0.6602 0.9499 0.3711 Tl
0.6641 0.1547 0.6641 Tl
0.6641 0.6641 0.1547 Tl
0.8045 0.3085 0.3085 Tl
0.9499 0.3711 0.6602 Tl
0.9499 0.6602 0.3711 Tl
0.7553 0.7553 0.7553 In
```

Principal peaks in the range 15° ≤ 2θ ≤ 90°, low angle first:
15.39°, rel. 18; 26.82°, rel. 13; 27.45°, rel. 18; 31.10°, rel. 100; 31.32°, rel. 25; 31.67°, rel. 24; 34.90°, rel. 64; 35.08°, rel. 18; 55.26°, rel. 16; 55.64°, rel. 22


# 2
The following is a calculated powder X-ray diffraction pattern of Li2Bi2Pd4Au. It was derived from a DFT-relaxed cell (GGA-PBE, Alexandria), using Cu Kα.

Cell and atoms:
```
Li2Bi2Pd4Au
1.0
-3.3091 3.3091 3.8260
3.3091 -3.3091 3.8260
3.3091 3.3091 -3.8260
Li Bi Pd Au
2 2 4 1
direct
0.1947 0.1947 0.0000 Li
0.8053 0.8053 0.0000 Li
0.2500 0.7500 0.5000 Bi
0.7500 0.2500 0.5000 Bi
0.2175 0.2175 0.4351 Pd
0.2175 0.7825 0.0000 Pd
0.7825 0.2175 0.0000 Pd
0.7825 0.7825 0.5649 Pd
0.5000 0.5000 0.0000 Au
```

Principal peaks in the range 15° ≤ 2θ ≤ 90°, low angle first:
30.17°, rel. 100; 32.43°, rel. 33; 35.88°, rel. 64; 38.47°, rel. 67; 42.65°, rel. 20; 47.53°, rel. 21; 49.65°, rel. 41; 55.53°, rel. 23; 62.74°, rel. 36; 77.66°, rel. 25


# 3
The following is a calculated powder X-ray diffraction pattern of HgBi2Cl6. It was derived from a DFT-relaxed cell (GGA-PBE, Alexandria), using Cu Kα.

Cell and atoms:
```
HgBi2Cl6
1.0
10.1291 -6.1647 0.0000
10.1291 6.1647 0.0000
-0.6163 0.0000 7.0801
Hg Bi Cl
2 4 12
direct
0.0504 0.9496 0.7500 Hg
0.9496 0.0504 0.2500 Hg
0.1701 0.3376 0.9881 Bi
0.3376 0.1701 0.4881 Bi
0.6624 0.8299 0.5119 Bi
0.8299 0.6624 0.0119 Bi
0.0705 0.5852 0.8876 Cl
0.1068 0.2505 0.6479 Cl
0.2505 0.1068 0.1479 Cl
0.2702 0.3952 0.3214 Cl
0.3952 0.2702 0.8214 Cl
0.4148 0.9295 0.6124 Cl
0.5852 0.0705 0.3876 Cl
0.6048 0.7298 0.1786 Cl
0.7298 0.6048 0.6786 Cl
0.7495 0.8932 0.8521 Cl
0.8932 0.7495 0.3521 Cl
0.9295 0.4148 0.1124 Cl
```

Principal peaks in the range 15° ≤ 2θ ≤ 90°, low angle first:
15.00°, rel. 37; 15.40°, rel. 64; 17.58°, rel. 78; 18.82°, rel. 36; 22.78°, rel. 40; 25.64°, rel. 34; 27.40°, rel. 68; 27.87°, rel. 100; 34.34°, rel. 36; 39.37°, rel. 32


# 4
The following is a calculated powder X-ray diffraction pattern of CaLaPm14. It was derived from a DFT-relaxed cell (GGA-PBE, Alexandria), using Cu Kα.

Cell and atoms:
```
CaLaPm14
1.0
11.8203 0.0000 0.0000
0.0000 3.7093 6.4341
0.0000 -3.7093 6.4341
Ca La Pm
1 1 14
direct
0.0000 0.0000 0.0000 Ca
0.0000 0.4977 0.4977 La
0.0000 0.0034 0.4973 Pm
0.0000 0.4973 0.0034 Pm
0.2502 0.3332 0.3332 Pm
0.2518 0.8308 0.8308 Pm
0.2532 0.3384 0.8311 Pm
0.2532 0.8311 0.3384 Pm
0.5000 0.9999 0.9999 Pm
0.5000 0.0001 0.4996 Pm
0.5000 0.4996 0.0001 Pm
0.5000 0.5003 0.5003 Pm
0.7468 0.3384 0.8311 Pm
0.7468 0.8311 0.3384 Pm
0.7482 0.8308 0.8308 Pm
0.7498 0.3332 0.3332 Pm
```

Principal peaks in the range 15° ≤ 2θ ≤ 90°, low angle first:
27.75°, rel. 24; 30.24°, rel. 25; 31.68°, rel. 100; 41.51°, rel. 16; 49.08°, rel. 20; 54.64°, rel. 21; 58.75°, rel. 23; 59.61°, rel. 16; 80.71°, rel. 9; 83.66°, rel. 8


# 5
The following is a calculated powder X-ray diffraction pattern of Ho4Ge8Ir. It was derived from a DFT-relaxed cell (GGA-PBE, Alexandria), using Cu Kα.

Cell and atoms:
```
Ho4Ge8Ir
1.0
4.0293 0.0000 0.0000
0.0000 4.1303 0.0000
0.0000 0.0000 16.1520
Ho Ge Ir
4 8 1
direct
0.0000 0.0000 0.0000 Ho
0.0000 0.5000 0.4879 Ho
0.5000 0.0000 0.7891 Ho
0.5000 0.5000 0.2847 Ho
0.0000 0.0000 0.3305 Ge
0.0000 0.0000 0.6214 Ge
0.0000 0.5000 0.1403 Ge
0.0000 0.5000 0.8567 Ge
0.5000 0.0000 0.1446 Ge
0.5000 0.0000 0.4359 Ge
0.5000 0.5000 0.6199 Ge
0.5000 0.5000 0.9580 Ge
0.0000 0.5000 0.7067 Ir
```

Principal peaks in the range 15° ≤ 2θ ≤ 90°, low angle first:
24.69°, rel. 9; 31.51°, rel. 12; 35.30°, rel. 100; 40.29°, rel. 15; 43.84°, rel. 19; 45.00°, rel. 18; 58.43°, rel. 10; 61.05°, rel. 10; 64.63°, rel. 12; 75.00°, rel. 11


# 6
The following is a calculated powder X-ray diffraction pattern of TmZn10Ag. It was derived from a DFT-relaxed cell (GGA-PBE, Alexandria), using Cu Kα.

Cell and atoms:
```
TmZn10Ag
1.0
4.3248 0.0000 0.0000
0.0000 5.0961 0.0000
0.0000 0.0000 9.0799
Tm Zn Ag
1 10 1
direct
0.0000 0.0000 0.0000 Tm
0.0000 0.0000 0.3432 Zn
0.0000 0.0000 0.6568 Zn
0.0000 0.5000 0.1889 Zn
0.0000 0.5000 0.8111 Zn
0.5000 0.0000 0.5000 Zn
0.5000 0.2420 0.2394 Zn
0.5000 0.2420 0.7606 Zn
0.5000 0.5000 0.0000 Zn
0.5000 0.7580 0.2394 Zn
0.5000 0.7580 0.7606 Zn
0.0000 0.5000 0.5000 Ag
```

Principal peaks in the range 15° ≤ 2θ ≤ 90°, low angle first:
28.50°, rel. 18; 28.81°, rel. 43; 34.46°, rel. 26; 39.71°, rel. 20; 40.45°, rel. 100; 40.60°, rel. 30; 41.12°, rel. 49; 41.77°, rel. 46; 59.66°, rel. 19; 66.75°, rel. 21